Structure and calculated X-ray diffraction stick pattern of CsMg6Ti (the PBE geometry in the Materials Project; Cu Kα, 1.54184 Å).

Principal peaks in the range 10 to 90 degrees two-theta, in order of rising 2θ:
2theta  Rel. int.
15.12  44
22.29  51
30.48  28
32.93  26
34.76  100
59.98  20

Structural model:
```
8
Lattice="5.441 0.000 0.000 0.000 3.378 5.876 0.000 -3.378 5.876" Properties=species:S:1:pos:R:3 pbc="T T T"
Cs 0.000 0.000 0.000
Mg 0.000 -1.565 2.964
Mg 0.000 1.565 2.964
Mg 0.000 0.000 5.983
Mg 2.720 -1.544 4.912
Mg 2.720 1.544 4.912
Mg 2.720 0.000 7.904
Ti 2.720 0.000 2.299
```